Computed powder diffraction line list of Li6PmTl6 for CuKα, from a DFT-relaxed cell (PBE, Alexandria).
Neutral-atom scattering factors, no anomalous dispersion.

The 8 most intense peaks (2θ = 15–90°), sorted by position:
Position (°2θ)  d_spacing  intensity
18.3  4.851  57
25.4  3.511  32
30.0  2.978  57
31.3  2.860  100
35.4  2.538  26
36.5  2.464  45
36.6  2.457  29
66.4  1.408  24

Atomic structure:
Unit cell a=7.505 b=7.505 c=7.505 alpha=133.25 beta=99.47 gamma=98.65
Element x y z (fractional)
Li: 0.000 0.000 0.500
Li: 0.000 0.500 0.000
Li: 0.238 0.000 0.238
Li: 0.500 0.000 0.000
Li: 0.500 0.500 0.500
Li: 0.762 0.000 0.762
Pm: 0.000 0.500 0.500
Tl: 0.178 0.178 0.000
Tl: 0.339 0.500 0.839
Tl: 0.340 0.840 0.500
Tl: 0.660 0.160 0.500
Tl: 0.661 0.500 0.161
Tl: 0.822 0.822 0.000

=====

Computed powder diffraction line list of LiPm2Tl2 for CuKα, from a DFT-relaxed cell (PBE, Alexandria).
Neutral-atom scattering factors, no anomalous dispersion.

The 8 most intense peaks (2θ = 15–90°), sorted by position:
Position (°2θ)  d_spacing  intensity
24.4  3.641  50
31.2  2.865  100
31.7  2.823  50
35.2  2.550  50
35.5  2.526  33
35.7  2.515  64
57.1  1.613  37
57.8  1.595  31

Atomic structure:
Unit cell a=3.903 b=6.958 c=10.105 alpha=90.00 beta=90.00 gamma=90.00
Element x y z (fractional)
Li: 0.000 0.000 0.000
Li: 0.500 0.500 0.500
Pm: 0.000 0.500 0.222
Pm: 0.000 0.500 0.778
Pm: 0.500 0.000 0.278
Pm: 0.500 0.000 0.722
Tl: 0.000 0.228 0.500
Tl: 0.000 0.772 0.500
Tl: 0.500 0.272 0.000
Tl: 0.500 0.728 0.000

=====

Computed powder diffraction line list of Li4Pm9Tl11 for CuKα, from a DFT-relaxed cell (PBE, Alexandria).
Neutral-atom scattering factors, no anomalous dispersion.

The 8 most intense peaks (2θ = 15–90°), sorted by position:
Position (°2θ)  d_spacing  intensity
25.8  3.449  19
30.6  2.917  30
32.7  2.739  100
34.0  2.635  79
34.5  2.603  81
51.4  1.778  19
59.8  1.547  15
62.3  1.491  31

Atomic structure:
Unit cell a=13.893 b=13.893 c=3.556 alpha=90.00 beta=90.00 gamma=111.16
Element x y z (fractional)
Li: 0.044 0.244 0.000
Li: 0.244 0.044 0.000
Li: 0.756 0.956 0.000
Li: 0.956 0.756 0.000
Pm: 0.000 0.000 0.000
Pm: 0.134 0.640 0.000
Pm: 0.283 0.434 0.000
Pm: 0.360 0.866 0.000
Pm: 0.434 0.283 0.000
Pm: 0.566 0.717 0.000
Pm: 0.640 0.134 0.000
Pm: 0.717 0.566 0.000
Pm: 0.866 0.360 0.000
Tl: 0.078 0.420 0.500
Tl: 0.139 0.861 0.500
Tl: 0.198 0.198 0.500
Tl: 0.345 0.655 0.500
Tl: 0.420 0.078 0.500
Tl: 0.500 0.500 0.500
Tl: 0.580 0.922 0.500
Tl: 0.655 0.345 0.500
Tl: 0.802 0.802 0.500
Tl: 0.861 0.139 0.500
Tl: 0.922 0.580 0.500

=====

Computed powder diffraction line list of Li2PmTmTl4 for CuKα, from a DFT-relaxed cell (PBE, Alexandria).
Neutral-atom scattering factors, no anomalous dispersion.

The 8 most intense peaks (2θ = 15–90°), sorted by position:
Position (°2θ)  d_spacing  intensity
20.9  4.251  17
24.2  3.682  21
34.4  2.603  100
40.6  2.220  9
49.5  1.841  18
61.7  1.503  38
72.6  1.302  12
82.9  1.164  17

Atomic structure:
Unit cell a=9.021 b=9.021 c=9.021 alpha=33.54 beta=33.54 gamma=33.54
Element x y z (fractional)
Li: 0.249 0.249 0.249
Li: 0.751 0.751 0.751
Pm: 0.000 0.000 0.000
Tm: 0.500 0.500 0.500
Tl: 0.127 0.127 0.127
Tl: 0.377 0.377 0.377
Tl: 0.623 0.623 0.623
Tl: 0.873 0.873 0.873